ZrSiTe: computed powder X-ray diffraction pattern (Cu Ka), based on DFT lattice parameters and positions (GGA-PBE).

Crystal structure
Unit cell a=3.699 b=3.699 c=9.887 alpha=90.00 beta=90.00 gamma=90.00
Element x y z (fractional)
Zr 0.250 0.250 0.216
Zr 0.750 0.750 0.784
Si 0.250 0.750 0.000
Si 0.750 0.250 0.000
Te 0.250 0.250 0.647
Te 0.750 0.750 0.353

Main lines, by angle (2θ = 10–90°):
4.944 Å, 17.94°, I 29, (0 0 2); 2.961 Å, 30.18°, I 100, (1 0 2); 2.615 Å, 34.29°, I 51, (1 1 0); 2.528 Å, 35.51°, I 18, (1 1 1); 2.461 Å, 36.52°, I 35, (1 0 3); 2.312 Å, 38.96°, I 43, (1 1 2); 2.055 Å, 44.06°, I 25, (1 0 4); 1.849 Å, 49.27°, I 30, (2 0 0); 1.744 Å, 52.47°, I 24, (1 0 5); 1.569 Å, 58.87°, I 29, (2 1 2)